1.
Theoretical powder diffraction line list of BaNbSe4 for Cu Kα, 1.54184 Å, from a DFT-relaxed cell (GGA-PBE, Alexandria).

Main lines, in order of rising 2θ (2θ = 15–90°):
2θ/deg	I/Imax
16.02	44
29.64	78
31.15	57
35.46	66
35.86	100
39.28	67

Cell and atoms:
Cell lengths 8.199, 8.199, 6.203 Å; angles 105.76, 105.76, 111.09 degrees
Positions (direct):
1 Ba 0.139 0.861 0.750
2 Ba 0.861 0.139 0.250
3 Nb 0.499 0.501 0.750
4 Nb 0.501 0.499 0.250
5 Se 0.186 0.309 0.823
6 Se 0.249 0.552 0.424
7 Se 0.309 0.186 0.323
8 Se 0.448 0.751 0.076
9 Se 0.552 0.249 0.924
10 Se 0.691 0.814 0.677
11 Se 0.751 0.448 0.576
12 Se 0.814 0.691 0.177

2.
Theoretical powder diffraction line list of Pu3SbH2 for Cu Kα, 1.54184 Å, from a DFT-relaxed cell (GGA-PBE, Alexandria).

Main lines, in order of rising 2θ (2θ = 15–90°):
2θ/deg	I/Imax
32.11	99
33.25	100
35.62	30
38.32	30
39.71	36
56.37	20

Cell and atoms:
Cell lengths 6.714, 4.540, 7.621 Å; angles 90.00, 112.02, 90.00 degrees
Positions (direct):
1 Pu 0.033 0.250 0.310
2 Pu 0.269 0.250 0.858
3 Pu 0.419 0.750 0.606
4 Pu 0.581 0.250 0.394
5 Pu 0.731 0.750 0.142
6 Pu 0.967 0.750 0.690
7 Sb 0.248 0.750 0.141
8 Sb 0.752 0.250 0.859
9 H 0.039 0.750 0.420
10 H 0.333 0.250 0.573
11 H 0.667 0.750 0.427
12 H 0.961 0.250 0.580